No. 1
This entry pairs a crystal structure of Tb8Ho3Sc with its computed powder X-ray diffraction pattern. Radiation: CuKα. Structure: the PBE geometry in Alexandria.
Peak positions follow from Bragg's law for the DFT cell and can differ from measured ones.

Largest 10 diffraction maxima, sorted by position, 2θ from 15° to 90°:
20.17 deg, rel. 207
23.33 deg, rel. 201
33.22 deg, rel. 1000
39.17 deg, rel. 113
40.99 deg, rel. 61
47.70 deg, rel. 182
53.75 deg, rel. 83
59.36 deg, rel. 377
69.75 deg, rel. 116
79.52 deg, rel. 108

Structural model:
```
12
Lattice="-3.811 3.811 7.635 3.811 -3.811 7.635 3.811 3.811 -7.635" Properties=species:S:1:pos:R:3 pbc="T T T"
Tb 1.878 1.878 -1.874
Tb 1.934 -1.934 5.761
Tb 1.878 1.878 1.874
Tb 1.934 -1.934 9.509
Tb -1.934 1.934 5.761
Tb 1.934 1.934 5.761
Tb -1.934 1.934 9.509
Tb 1.934 1.934 9.509
Ho 3.811 0.000 3.817
Ho 0.000 0.000 7.635
Ho 0.000 3.811 3.817
Sc 0.000 0.000 0.000
```

***

No. 2
This entry pairs a crystal structure of CaSc2P with its computed powder X-ray diffraction pattern. Radiation: CuKα. Structure: the PBE geometry in Alexandria.
Peak positions follow from Bragg's law for the DFT cell and can differ from measured ones.

Largest 10 diffraction maxima, sorted by position, 2θ from 15° to 90°:
27.80 deg, rel. 294
34.56 deg, rel. 1000
35.23 deg, rel. 191
35.92 deg, rel. 768
43.80 deg, rel. 247
51.19 deg, rel. 237
51.70 deg, rel. 245
63.69 deg, rel. 287
64.11 deg, rel. 113
66.66 deg, rel. 123

Structural model:
```
4
Lattice="3.536 0.000 0.000 0.000 3.536 0.000 0.000 0.000 7.643" Properties=species:S:1:pos:R:3 pbc="T T T"
Ca 0.000 0.000 0.000
Sc 0.000 0.000 3.017
Sc 1.768 1.768 4.930
P 1.768 1.768 2.042
```

***

No. 3
This entry pairs a crystal structure of Zr4Si3Ni2 with its computed powder X-ray diffraction pattern. Radiation: CuKα. Structure: the PBE geometry in Alexandria.
Peak positions follow from Bragg's law for the DFT cell and can differ from measured ones.

Largest 10 diffraction maxima, sorted by position, 2θ from 15° to 90°:
30.31 deg, rel. 675
32.18 deg, rel. 449
36.41 deg, rel. 1000
37.22 deg, rel. 751
40.00 deg, rel. 675
41.49 deg, rel. 641
44.91 deg, rel. 208
45.25 deg, rel. 527
63.05 deg, rel. 307
71.84 deg, rel. 239

Structural model:
```
18
Lattice="4.008 -6.055 0.000 4.008 6.055 0.000 0.000 0.000 6.264" Properties=species:S:1:pos:R:3 pbc="T T T"
Zr 2.004 1.107 4.698
Zr 4.008 3.133 6.241
Zr 4.008 2.922 3.109
Zr 2.004 -1.107 1.566
Zr 6.012 1.107 4.698
Zr 4.008 -2.922 3.155
Zr 4.008 -3.133 0.023
Zr 6.012 -1.107 1.566
Si 0.000 0.000 0.000
Si 2.004 1.859 1.566
Si 2.004 -1.859 4.698
Si 4.008 0.000 3.132
Si 6.012 1.859 1.566
Si 6.012 -1.859 4.698
Ni 4.008 5.296 4.056
Ni 4.008 0.759 0.924
Ni 4.008 -0.759 5.340
Ni 4.008 -5.296 2.208
```

***

No. 4
This entry pairs a crystal structure of InCuSn with its computed powder X-ray diffraction pattern. Radiation: CuKα. Structure: the PBE geometry in Alexandria.
Peak positions follow from Bragg's law for the DFT cell and can differ from measured ones.

Largest 10 diffraction maxima, sorted by position, 2θ from 15° to 90°:
23.89 deg, rel. 189
27.54 deg, rel. 261
27.75 deg, rel. 513
39.45 deg, rel. 672
39.55 deg, rel. 1000
39.76 deg, rel. 329
48.90 deg, rel. 167
57.32 deg, rel. 221
71.48 deg, rel. 171
71.72 deg, rel. 282

Structural model:
```
6
Lattice="4.535 0.000 0.000 0.000 4.557 0.000 -0.023 0.000 6.477" Properties=species:S:1:pos:R:3 pbc="T T T"
In 4.527 0.000 1.616
In -0.016 0.000 4.861
Cu 0.000 2.279 0.000
Cu 2.256 0.000 3.238
Sn 2.247 2.279 4.853
Sn 2.265 2.279 1.624
```

***

No. 5
This entry pairs a crystal structure of TaTiNbRh with its computed powder X-ray diffraction pattern. Radiation: CuKα. Structure: the PBE geometry in Alexandria.
Peak positions follow from Bragg's law for the DFT cell and can differ from measured ones.

Largest 10 diffraction maxima, sorted by position, 2θ from 15° to 90°:
31.06 deg, rel. 126
39.57 deg, rel. 1000
42.12 deg, rel. 52
57.02 deg, rel. 56
57.29 deg, rel. 111
66.61 deg, rel. 31
71.67 deg, rel. 111
71.85 deg, rel. 223
85.14 deg, rel. 71
85.37 deg, rel. 36

Structural model:
```
4
Lattice="3.216 0.000 0.000 0.000 3.216 0.000 0.000 0.000 6.461" Properties=species:S:1:pos:R:3 pbc="T T T"
Ta 0.000 0.000 0.000
Ti 0.000 0.000 3.169
Nb 1.608 1.608 4.778
Rh 1.608 1.608 1.583
```

***

No. 6
This entry pairs a crystal structure of Ho3NbSe6 with its computed powder X-ray diffraction pattern. Radiation: CuKα. Structure: the PBE geometry in Alexandria.
Peak positions follow from Bragg's law for the DFT cell and can differ from measured ones.

Largest 10 diffraction maxima, sorted by position, 2θ from 15° to 90°:
24.45 deg, rel. 1000
24.95 deg, rel. 307
28.14 deg, rel. 177
33.89 deg, rel. 730
36.37 deg, rel. 474
37.41 deg, rel. 545
41.22 deg, rel. 384
47.37 deg, rel. 403
49.04 deg, rel. 211
63.27 deg, rel. 235

Structural model:
```
20
Lattice="5.573 -6.778 0.000 5.573 6.778 0.000 0.000 0.000 6.820" Properties=species:S:1:pos:R:3 pbc="T T T"
Ho 5.573 5.420 3.410
Ho 3.521 1.411 4.160
Ho 3.521 -1.411 0.750
Ho 7.625 1.411 4.160
Ho 7.625 -1.411 0.750
Ho 5.573 -5.420 0.000
Nb 5.573 2.164 0.884
Nb 5.573 -2.164 4.294
Se 3.752 3.465 2.080
Se 1.824 0.422 2.070
Se 1.824 -0.422 5.480
Se 5.573 3.161 5.301
Se 7.394 3.465 2.080
Se 5.573 0.030 2.595
Se 5.573 -0.030 6.005
Se 3.752 -3.465 5.490
Se 5.573 -3.161 1.891
Se 9.322 0.422 2.070
Se 9.322 -0.422 5.480
Se 7.394 -3.465 5.490
```

***

No. 7
This entry pairs a crystal structure of Rb2NaGeSe4 with its computed powder X-ray diffraction pattern. Radiation: CuKα. Structure: the PBE geometry in Alexandria.
Peak positions follow from Bragg's law for the DFT cell and can differ from measured ones.

Largest 10 diffraction maxima, sorted by position, 2θ from 15° to 90°:
15.82 deg, rel. 369
26.71 deg, rel. 1000
27.99 deg, rel. 335
30.43 deg, rel. 357
31.94 deg, rel. 828
34.12 deg, rel. 286
38.77 deg, rel. 266
48.75 deg, rel. 173
49.03 deg, rel. 219
50.06 deg, rel. 303

Structural model:
```
8
Lattice="-4.155 4.155 3.794 4.155 -4.155 3.794 4.155 4.155 -3.794" Properties=species:S:1:pos:R:3 pbc="T T T"
Rb 4.155 0.000 0.000
Rb 0.000 4.155 0.000
Na 0.000 0.000 0.000
Ge 0.000 0.000 3.794
Se 2.831 2.831 -1.497
Se 1.323 1.323 2.297
Se 1.323 -1.323 5.291
Se -1.323 1.323 5.291
```

***

No. 8
This entry pairs a crystal structure of LiNd3Te3 with its computed powder X-ray diffraction pattern. Radiation: CuKα. Structure: the PBE geometry in Alexandria.
Peak positions follow from Bragg's law for the DFT cell and can differ from measured ones.

Largest 10 diffraction maxima, sorted by position, 2θ from 15° to 90°:
20.70 deg, rel. 307
28.12 deg, rel. 515
29.77 deg, rel. 705
30.74 deg, rel. 1000
30.99 deg, rel. 310
31.93 deg, rel. 359
34.77 deg, rel. 537
34.99 deg, rel. 862
39.87 deg, rel. 358
40.12 deg, rel. 630

Structural model:
```
28
Lattice="12.603 0.000 0.000 0.000 4.495 0.000 0.000 0.000 14.376" Properties=species:S:1:pos:R:3 pbc="T T T"
Li 0.724 1.124 2.674
Li 5.578 3.371 9.862
Li 7.025 1.124 4.514
Li 11.879 3.371 11.702
Nd 0.663 1.124 8.774
Nd 1.751 3.371 14.257
Nd 2.773 3.371 3.900
Nd 3.529 1.124 11.088
Nd 4.550 1.124 7.069
Nd 5.638 3.371 1.586
Nd 6.964 1.124 12.790
Nd 8.052 3.371 7.307
Nd 9.074 3.371 3.287
Nd 9.830 1.124 10.475
Nd 10.852 1.124 0.119
Nd 11.940 3.371 5.602
Te 0.542 1.124 12.158
Te 1.611 1.124 5.787
Te 3.000 3.371 8.879
Te 3.301 1.124 1.691
Te 4.690 3.371 12.975
Te 5.760 3.371 4.970
Te 6.843 1.124 9.405
Te 7.913 1.124 1.401
Te 9.301 3.371 12.684
Te 9.603 1.124 5.497
Te 10.991 3.371 8.588
Te 12.061 3.371 2.218
```